[1]
The following is a computed X-ray powder pattern of SrLiPm2In4. It was derived from a DFT-relaxed cell (GGA-PBE, Alexandria), using Cu Kα X-rays.
Kinematic intensities with the Lorentz-polarization factor, no thermal factor.

Top 8 peaks for 2θ = 10–80°, by intensity:
(hkl), 2theta, I_rel
1 1 0, 33.27, 100
0 1 8, 32.73, 98
1 2 8, 59.10, 35
2 0 8, 47.36, 35
3 0 0, 59.44, 18
0 1 2, 20.14, 16
1 0 16, 58.07, 15
3 1 8, 79.29, 15

Atomic structure:
```
data_SrLiPm2In4
_chemical_formula_sum 'Sr3 Li3 Pm6 In12'
_space_group_name_H-M_alt 'R -3 m'
_space_group_IT_number 166
_space_group_name_Hall '-R 3 2"'
_cell_length_a 5.3866
_cell_length_b 5.3866
_cell_length_c 27.0288
_cell_angle_alpha 90.00
_cell_angle_beta 90.00
_cell_angle_gamma 120.00
loop_
_atom_site_label
_atom_site_fract_x
_atom_site_fract_y
_atom_site_fract_z
Sr1 0.0000 0.0000 0.0000
Li1 0.0000 0.0000 0.5000
Pm1 0.0000 0.0000 0.2451
In1 0.0000 0.0000 0.1273
In2 0.0000 0.0000 0.3822
```



[2]
The following is a computed X-ray powder pattern of Na3AsH14SO10. It was derived from a DFT-relaxed cell (GGA-PBE, Alexandria), using Cu Kα X-rays.
Kinematic intensities with the Lorentz-polarization factor, no thermal factor.

Top 8 peaks for 2θ = 10–80°, by intensity:
(hkl), 2theta, I_rel
1 1 0, 14.83, 100
1 0 2, 28.95, 93
1 2 -1, 22.86, 89
0 3 1, 24.29, 88
0 1 1, 14.43, 88
2 0 0, 26.45, 77
1 6 -1, 46.07, 71
1 0 -1, 18.20, 65

Atomic structure:
```
data_Na3AsH14SO10
_chemical_formula_sum 'Na6 As2 H28 S2 O20'
_space_group_name_H-M_alt 'P 1 21 1'
_space_group_IT_number 4
_space_group_name_Hall 'P 2yb'
_cell_length_a 6.740
_cell_length_b 12.917
_cell_length_c 6.978
_cell_angle_alpha 90.00
_cell_angle_beta 90.64
_cell_angle_gamma 90.00
loop_
_atom_site_label
_atom_site_fract_x
_atom_site_fract_y
_atom_site_fract_z
Na1 0.210 0.000 0.321
Na2 0.212 0.742 0.204
Na3 0.214 0.641 0.667
As1 0.207 0.363 0.208
H1 0.005 0.545 0.322
H2 0.115 0.149 0.638
H3 0.172 0.855 0.613
H4 0.191 0.912 0.942
H5 0.192 0.427 0.610
H6 0.199 0.444 0.837
H7 0.301 0.238 0.808
H8 0.331 0.278 0.587
H9 0.363 0.561 0.014
H10 0.402 0.837 0.562
H11 0.423 0.909 0.004
H12 0.444 0.495 0.455
H13 0.454 0.107 0.582
H14 0.488 0.152 0.044
S1 0.161 0.206 0.107
O1 0.017 0.616 0.381
O2 0.020 0.922 0.752
O3 0.120 0.459 0.717
O4 0.264 0.817 0.524
O5 0.284 0.901 0.053
O6 0.335 0.433 0.039
O7 0.338 0.217 0.677
O8 0.342 0.371 0.423
O9 0.371 0.636 0.978
O10 0.498 0.058 0.482
```